1.
Diffraction record for PaV2Ni. The powder XRD pattern is theoretical, not measured: it uses a PBE-relaxed structure and Cu Kα.
Kinematic intensities with the Lorentz-polarization factor, no thermal factor.

The 10 most intense peaks (2θ from 10° to 90°), low angle first:
- d 3.590, rel. 41
- d 3.109, rel. 30
- d 2.199, rel. 100
- d 1.875, rel. 22
- d 1.795, rel. 9
- d 1.555, rel. 16
- d 1.427, rel. 9
- d 1.391, rel. 12
- d 1.269, rel. 33
- d 1.099, rel. 11

Structure:
abc: 4.397 4.397 4.397
angles: 60.00 60.00 60.00
Atoms (fractional coordinates):
Pa 0.000 0.000 0.000
V 0.250 0.250 0.250
V 0.750 0.750 0.750
Ni 0.500 0.500 0.500

2.
Diffraction record for Fe7Ni5P4. The powder XRD pattern is theoretical, not measured: it uses a PBE-relaxed structure and Cu Kα.
Kinematic intensities with the Lorentz-polarization factor, no thermal factor.

The 10 most intense peaks (2θ from 10° to 90°), low angle first:
- d 2.173, rel. 97
- d 2.162, rel. 100
- d 2.117, rel. 56
- d 2.080, rel. 50
- d 2.072, rel. 55
- d 2.009, rel. 72
- d 1.959, rel. 48
- d 1.952, rel. 82
- d 1.946, rel. 58
- d 1.762, rel. 44

Structure:
abc: 4.394 6.705 6.712
angles: 84.03 71.19 71.27
Atoms (fractional coordinates):
Fe 0.000 0.000 0.000
Fe 0.035 0.855 0.639
Fe 0.358 0.156 0.215
Fe 0.507 0.216 0.846
Fe 0.608 0.582 0.702
Fe 0.670 0.794 0.363
Fe 0.786 0.369 0.057
Ni 0.082 0.236 0.639
Ni 0.189 0.577 0.083
Ni 0.325 0.518 0.425
Ni 0.625 0.794 0.987
Ni 0.743 0.142 0.422
P 0.098 0.526 0.788
P 0.187 0.852 0.279
P 0.465 0.941 0.692
P 0.890 0.432 0.369

3.
Diffraction record for Pm2ZnSn3. The powder XRD pattern is theoretical, not measured: it uses a PBE-relaxed structure and Cu Kα.
Kinematic intensities with the Lorentz-polarization factor, no thermal factor.

The 10 most intense peaks (2θ from 10° to 90°), low angle first:
- d 4.094, rel. 30
- d 3.264, rel. 100
- d 3.031, rel. 41
- d 2.726, rel. 57
- d 2.561, rel. 59
- d 2.551, rel. 85
- d 2.117, rel. 34
- d 2.092, rel. 43
- d 1.866, rel. 38
- d 1.400, rel. 31

Structure:
abc: 8.826 8.826 8.826
angles: 152.24 146.26 44.23
Atoms (fractional coordinates):
Pm 0.149 0.149 0.000
Pm 0.851 0.851 0.000
Zn 0.500 0.500 0.000
Sn 0.000 0.500 0.500
Sn 0.339 0.339 0.000
Sn 0.661 0.661 0.000

4.
Diffraction record for Na5SbTe5. The powder XRD pattern is theoretical, not measured: it uses a PBE-relaxed structure and Cu Kα.
Kinematic intensities with the Lorentz-polarization factor, no thermal factor.

The 10 most intense peaks (2θ from 10° to 90°), low angle first:
- d 7.112, rel. 42
- d 5.806, rel. 75
- d 4.055, rel. 70
- d 3.114, rel. 100
- d 3.017, rel. 88
- d 3.002, rel. 89
- d 2.671, rel. 60
- d 2.167, rel. 68
- d 2.162, rel. 70
- d 2.028, rel. 64

Structure:
abc: 8.779 8.779 7.286
angles: 101.70 101.70 41.56
Atoms (fractional coordinates):
Na 0.000 0.000 0.000
Na 0.326 0.326 0.643
Na 0.333 0.333 0.175
Na 0.667 0.667 0.825
Na 0.674 0.674 0.357
Sb 0.000 0.000 0.500
Te 0.156 0.156 0.318
Te 0.158 0.158 0.832
Te 0.500 0.500 0.500
Te 0.842 0.842 0.168
Te 0.844 0.844 0.682

5.
Diffraction record for BaBr2N. The powder XRD pattern is theoretical, not measured: it uses a PBE-relaxed structure and Cu Kα.
Kinematic intensities with the Lorentz-polarization factor, no thermal factor.

The 10 most intense peaks (2θ from 10° to 90°), low angle first:
- d 4.522, rel. 32
- d 2.769, rel. 100
- d 2.362, rel. 19
- d 1.958, rel. 18
- d 1.797, rel. 8
- d 1.599, rel. 36
- d 1.507, rel. 6
- d 1.385, rel. 11
- d 1.324, rel. 6
- d 1.238, rel. 16

Structure:
abc: 5.539 5.539 5.539
angles: 60.00 60.00 60.00
Atoms (fractional coordinates):
Ba 0.000 0.000 0.000
Br 0.250 0.250 0.250
Br 0.750 0.750 0.750
N 0.500 0.500 0.500

6.
Diffraction record for Pm3Dy4Au4. The powder XRD pattern is theoretical, not measured: it uses a PBE-relaxed structure and Cu Kα.
Kinematic intensities with the Lorentz-polarization factor, no thermal factor.

The 10 most intense peaks (2θ from 10° to 90°), low angle first:
- d 2.979, rel. 100
- d 2.929, rel. 26
- d 2.854, rel. 49
- d 2.632, rel. 35
- d 2.435, rel. 46
- d 2.191, rel. 61
- d 2.180, rel. 15
- d 1.872, rel. 15
- d 1.491, rel. 14
- d 1.354, rel. 13

Structure:
abc: 9.138 9.138 9.138
angles: 149.09 129.79 60.13
Atoms (fractional coordinates):
Pm 0.000 0.000 0.000
Pm 0.397 0.897 0.500
Pm 0.603 0.103 0.500
Dy 0.042 0.327 0.714
Dy 0.387 0.673 0.714
Dy 0.613 0.327 0.286
Dy 0.958 0.673 0.286
Au 0.206 0.206 0.000
Au 0.311 0.500 0.811
Au 0.689 0.500 0.189
Au 0.794 0.794 0.000